This entry pairs a crystal structure of TcCl4 with its theoretical PXRD pattern. Radiation: Cu Kα. Structure: the GGA-PBE geometry in OQMD.
Intensities are scaled so that the largest is 100.

Crystal structure
abc: 6.901 6.901 8.240
angles: 125.42 125.42 55.58
Sites, in units of the cell vectors:
Tc: 0.208 0.792 0.000
Tc: 0.792 0.208 0.000
Cl: 0.208 0.208 0.190
Cl: 0.219 0.756 0.711
Cl: 0.244 0.781 0.289
Cl: 0.327 0.327 0.842
Cl: 0.673 0.673 0.158
Cl: 0.756 0.219 0.711
Cl: 0.781 0.244 0.289
Cl: 0.792 0.792 0.810

Top 10 peaks for 10 to 90 degrees two-theta, most intense first:
- 14.23°, I = 100.0
- 14.60°, I = 90.2
- 33.97°, I = 73.1
- 19.24°, I = 54.0
- 21.58°, I = 29.7
- 33.82°, I = 29.6
- 42.31°, I = 19.7
- 43.97°, I = 19.2
- 52.47°, I = 18.0
- 39.05°, I = 17.0